# Ti6RhN4
Calculated X-ray powder pattern, copper Kα. Input: DFT lattice parameters and positions (PBE).

Atomic structure:
Unit cell a=3.0231 b=10.3363 c=16.0946 alpha=90.00 beta=90.00 gamma=90.00
Space group Cmcm (No. 63)
Asymmetric unit:
Ti  0.0000  0.0000  0.0000
Ti  0.0000  0.1434  0.2500
Ti  0.0000  0.2786  0.5781
Ti  0.0000  0.4619  0.1475
Rh  0.0000  0.1645  0.7500
N  0.0000  0.0932  0.1204
N  0.0000  0.3618  0.0394

Principal peaks in the range 2θ from 5° to 70°, low angle first:
| Position (°2θ) | intensity |
| --- | --- |
| 10.99 | 22 |
| 18.03 | 18 |
| 36.52 | 23 |
| 37.79 | 62 |
| 38.24 | 62 |
| 38.68 | 17 |
| 40.07 | 25 |
| 41.28 | 100 |
| 41.92 | 22 |
| 43.24 | 16 |
| 61.33 | 19 |
| 61.55 | 17 |